The following is a simulated powder XRD pattern of Ca2DyZn4. It was derived from DFT lattice parameters and positions (PBE), using copper Kα.
Kinematic intensities with the Lorentz-polarization factor, no thermal factor.

abc: 3.7687 4.4330 19.7538
angles: 90.00 90.00 90.00
Space group Immm (No. 71)
Asymmetric unit:
Ca  0.0000  0.0000  0.1890 x4
Dy  0.0000  0.5000  0.0000 x2
Zn  0.0000  0.0000  0.3680 x4
Zn  0.0000  0.5000  0.4367 x4

The 8 most intense peaks (10° ≤ 2θ ≤ 90°), in order of rising 2θ:
hkl 1 1 2, 2θ = 32.5°, I 100
hkl 1 0 5, 2θ = 32.8°, I 61
hkl 1 1 4, 2θ = 36.2°, I 58
hkl 0 1 7, 2θ = 37.8°, I 62
hkl 0 2 0, 2θ = 40.7°, I 34
hkl 1 2 5, 2θ = 53.3°, I 30
hkl 2 1 7, 2θ = 62.9°, I 27
hkl 0 3 7, 2θ = 72.2°, I 23

=====

The following is a simulated powder XRD pattern of CaEr3. It was derived from DFT lattice parameters and positions (PBE), using copper Kα.
Kinematic intensities with the Lorentz-polarization factor, no thermal factor.

abc: 3.5996 5.7262 6.3253
angles: 90.00 90.00 90.00
Space group Pmm2 (No. 25)
Asymmetric unit:
Ca  0.0000  0.0000  0.0000 x1
Er  0.0000  0.5000  0.6610 x1
Er  0.5000  0.0000  0.5006 x1
Er  0.5000  0.5000  0.1800 x1

The 8 most intense peaks (10° ≤ 2θ ≤ 90°), in order of rising 2θ:
hkl 1 0 1, 2θ = 28.5°, I 28
hkl 0 2 0, 2θ = 31.2°, I 37
hkl 0 1 2, 2θ = 32.3°, I 53
hkl 1 1 1, 2θ = 32.6°, I 100
hkl 1 2 1, 2θ = 42.8°, I 20
hkl 1 0 3, 2θ = 50.1°, I 19
hkl 1 3 1, 2θ = 56.5°, I 21
hkl 1 2 3, 2θ = 60.3°, I 22

=====

The following is a simulated powder XRD pattern of Ca3Er. It was derived from DFT lattice parameters and positions (PBE), using copper Kα.
Kinematic intensities with the Lorentz-polarization factor, no thermal factor.

abc: 3.7319 12.4734 6.5757
angles: 90.00 90.00 90.00
Space group Imm2 (No. 44)
Asymmetric unit:
Ca  0.0000  0.0000  0.0000 x2
Ca  0.0000  0.2450  0.3318 x4
Er  0.0000  0.5000  0.9996 x2

The 8 most intense peaks (10° ≤ 2θ ≤ 90°), in order of rising 2θ:
hkl 0 2 0, 2θ = 14.2°, I 34
hkl 0 1 1, 2θ = 15.2°, I 59
hkl 1 0 1, 2θ = 27.5°, I 33
hkl 0 4 0, 2θ = 28.6°, I 39
hkl 0 2 2, 2θ = 30.7°, I 52
hkl 1 2 1, 2θ = 31.1°, I 100
hkl 1 4 1, 2θ = 40.1°, I 24
hkl 1 6 1, 2θ = 52.3°, I 22

=====

The following is a simulated powder XRD pattern of CaErF6. It was derived from DFT lattice parameters and positions (PBE), using copper Kα.
Kinematic intensities with the Lorentz-polarization factor, no thermal factor.

abc: 5.4197 5.4197 7.8888
angles: 90.00 90.00 90.00
Space group P4_2/m (No. 84)
Asymmetric unit:
Ca  0.0000  0.0000  0.0000 x2
Er  0.5000  0.5000  0.2500 x2
F  0.2124  0.2418  0.1771 x8
F  0.3195  0.3343  0.5000 x4

The 8 most intense peaks (10° ≤ 2θ ≤ 90°), in order of rising 2θ:
hkl 1 0 0, 2θ = 16.4°, I 77
hkl 1 1 0, 2θ = 23.2°, I 100
hkl 1 0 2, 2θ = 28.0°, I 87
hkl 1 1 2, 2θ = 32.6°, I 23
hkl 2 1 2, 2θ = 43.8°, I 77
hkl 2 2 0, 2θ = 47.4°, I 25
hkl 1 1 4, 2θ = 52.2°, I 21
hkl 3 0 2, 2θ = 56.0°, I 25

=====

The following is a simulated powder XRD pattern of CaErSe2F. It was derived from DFT lattice parameters and positions (PBE), using copper Kα.
Kinematic intensities with the Lorentz-polarization factor, no thermal factor.

abc: 3.9919 3.9919 14.3176
angles: 90.00 90.00 90.00
Space group P4/nmm (No. 129, origin choice 2)
Asymmetric unit:
Ca  0.2500  0.2500  0.0912 x2
Er  0.2500  0.2500  0.6268 x2
Se  0.2500  0.2500  0.4103 x2
Se  0.2500  0.2500  0.8085 x2
F  0.2500  0.7500  0.0000 x2

The 8 most intense peaks (10° ≤ 2θ ≤ 90°), in order of rising 2θ:
hkl 1 0 1, 2θ = 23.1°, I 59
hkl 0 0 4, 2θ = 24.9°, I 36
hkl 1 1 0, 2θ = 31.7°, I 100
hkl 1 1 1, 2θ = 32.3°, I 30
hkl 1 0 5, 2θ = 38.7°, I 32
hkl 1 1 4, 2θ = 40.7°, I 54
hkl 1 0 6, 2θ = 44.2°, I 35
hkl 2 0 0, 2θ = 45.4°, I 45

=====

The following is a simulated powder XRD pattern of Ca3ErTl2F12. It was derived from DFT lattice parameters and positions (PBE), using copper Kα.
Kinematic intensities with the Lorentz-polarization factor, no thermal factor.

abc: 7.8513 7.8513 20.7414
angles: 90.00 90.00 120.00
Space group R-3m (No. 166, hexagonal axes)
Asymmetric unit:
Ca  0.0000  0.5000  0.0000 x9
Er  0.0000  0.0000  0.5000 x3
Tl  0.0000  0.0000  0.0785 x6
F  0.0178  0.5089  0.3665 x18
F  0.0846  0.5423  0.1026 x18

The 8 most intense peaks (10° ≤ 2θ ≤ 90°), in order of rising 2θ:
hkl 0 1 2, 2θ = 15.6°, I 100
hkl 1 1 0, 2θ = 22.7°, I 68
hkl 0 1 5, 2θ = 25.1°, I 64
hkl 2 0 2, 2θ = 27.6°, I 56
hkl 1 0 7, 2θ = 33.0°, I 31
hkl 1 2 5, 2θ = 41.3°, I 32
hkl 2 2 0, 2θ = 46.3°, I 33
hkl 2 1 7, 2θ = 46.8°, I 35

=====

The following is a simulated powder XRD pattern of CaErGa2Pt2. It was derived from DFT lattice parameters and positions (PBE), using copper Kα.
Kinematic intensities with the Lorentz-polarization factor, no thermal factor.

abc: 4.4248 4.4248 7.3329
angles: 90.00 90.00 120.00
Space group P-3m1 (No. 164)
Asymmetric unit:
Ca  0.0000  0.0000  0.0000 x1
Er  0.0000  0.0000  0.5000 x1
Ga  0.3333  0.6667  0.7321 x2
Pt  0.3333  0.6667  0.2805 x2

The 8 most intense peaks (10° ≤ 2θ ≤ 90°), in order of rising 2θ:
hkl 0 0 1, 2θ = 12.1°, I 38
hkl 1 0 1, 2θ = 26.2°, I 40
hkl 1 0 2, 2θ = 33.8°, I 100
hkl 1 1 0, 2θ = 40.8°, I 75
hkl 0 1 3, 2θ = 43.9°, I 20
hkl 0 2 2, 2θ = 54.0°, I 26
hkl 1 1 4, 2θ = 66.2°, I 25
hkl 2 1 2, 2θ = 69.8°, I 24

=====

The following is a simulated powder XRD pattern of Li2CaEr2Ge2. It was derived from DFT lattice parameters and positions (PBE), using copper Kα.
Kinematic intensities with the Lorentz-polarization factor, no thermal factor.

abc: 4.5337 4.5337 26.7154
angles: 90.00 90.00 120.00
Space group R-3m (No. 166, hexagonal axes)
Asymmetric unit:
Li  0.0000  0.0000  0.0937 x6
Ca  0.0000  0.0000  0.5000 x3
Er  0.0000  0.0000  0.3714 x6
Ge  0.0000  0.0000  0.2455 x6

The 8 most intense peaks (10° ≤ 2θ ≤ 90°), in order of rising 2θ:
hkl 1 0 1, 2θ = 22.9°, I 76
hkl 0 1 5, 2θ = 28.2°, I 20
hkl 1 0 7, 2θ = 32.7°, I 55
hkl 0 1 8, 2θ = 35.3°, I 100
hkl 1 1 0, 2θ = 39.8°, I 77
hkl 2 0 8, 2θ = 54.2°, I 29
hkl 1 1 15, 2θ = 66.8°, I 20
hkl 1 2 8, 2θ = 69.3°, I 27

=====

The following is a simulated powder XRD pattern of CaEr2Ge4O12. It was derived from DFT lattice parameters and positions (PBE), using copper Kα.
Kinematic intensities with the Lorentz-polarization factor, no thermal factor.

abc: 14.2441 14.2640 5.0905
angles: 90.00 90.00 90.00
Space group Cmme (No. 67)
Asymmetric unit:
Ca  0.0000  0.0000  0.0000 x4
Er  0.2500  0.0000  0.0000 x4
Er  0.2500  0.2500  0.0000 x4
Ge  0.1152  0.1352  0.4951 x16
O  0.0000  0.1304  0.6473 x8
O  0.1238  0.0533  0.2455 x16
O  0.1275  0.2500  0.3299 x8
O  0.1930  0.1352  0.7608 x16

The 8 most intense peaks (10° ≤ 2θ ≤ 90°), in order of rising 2θ:
hkl 2 0 0, 2θ = 12.4°, I 33
hkl 2 0 1, 2θ = 21.5°, I 36
hkl 2 4 0, 2θ = 28.0°, I 14
hkl 0 4 1, 2θ = 30.6°, I 100
hkl 4 4 0, 2θ = 35.6°, I 24
hkl 4 4 2, 2θ = 51.0°, I 27
hkl 0 4 3, 2θ = 60.4°, I 15
hkl 8 4 1, 2θ = 60.9°, I 25

=====

The following is a simulated powder XRD pattern of CaEr2HfO6. It was derived from DFT lattice parameters and positions (PBE), using copper Kα.
Kinematic intensities with the Lorentz-polarization factor, no thermal factor.

abc: 5.6865 5.6865 15.0042
angles: 90.00 90.00 120.00
Space group R3 (No. 146, hexagonal axes)
Asymmetric unit:
Ca  0.0000  0.0000  0.0000 x3
Er  0.0000  0.0000  0.2182 x3
Er  0.0000  0.0000  0.7216 x3
Hf  0.0000  0.0000  0.5113 x3
O  0.0078  0.3653  0.7829 x9
O  0.0621  0.6807  0.2756 x9

The 8 most intense peaks (10° ≤ 2θ ≤ 90°), in order of rising 2θ:
hkl 1 0 1, 2θ = 19.0°, I 26
hkl 0 1 2, 2θ = 21.6°, I 34
hkl 1 0 4, 2θ = 29.9°, I 100
hkl 1 1 0, 2θ = 31.5°, I 100
hkl 0 2 4, 2θ = 44.0°, I 40
hkl 1 1 6, 2θ = 48.5°, I 41
hkl 2 1 4, 2θ = 55.1°, I 41
hkl 3 0 0, 2θ = 56.0°, I 29

=====

The following is a simulated powder XRD pattern of CaErHg4. It was derived from DFT lattice parameters and positions (PBE), using copper Kα.
Kinematic intensities with the Lorentz-polarization factor, no thermal factor.

abc: 3.8419 5.6692 7.9410
angles: 110.79 90.02 109.56
Space group P-1 (No. 2)
Asymmetric unit:
Ca  0.0000  0.0000  0.0000 x1
Er  0.0000  0.0000  0.5000 x1
Hg  0.3311  0.6628  0.1732 x2
Hg  0.3329  0.6659  0.6597 x2

The 8 most intense peaks (10° ≤ 2θ ≤ 90°), in order of rising 2θ:
hkl 1 0 -2, 2θ = 32.4°, I 100
hkl 0 2 -2, 2θ = 35.3°, I 40
hkl 0 1 2, 2θ = 35.5°, I 40
hkl 1 1 0, 2θ = 35.8°, I 39
hkl 1 -2 0, 2θ = 36.0°, I 38
hkl 0 1 -4, 2θ = 45.7°, I 19
hkl 2 -1 0, 2θ = 47.3°, I 18
hkl 1 0 4, 2θ = 59.6°, I 18

=====

The following is a simulated powder XRD pattern of Ca2ErHg9. It was derived from DFT lattice parameters and positions (PBE), using copper Kα.
Kinematic intensities with the Lorentz-polarization factor, no thermal factor.

abc: 4.6377 4.6377 14.0400
angles: 90.00 90.00 90.00
Space group P4/mmm (No. 123)
Asymmetric unit:
Ca  0.0000  0.0000  0.1667 x2
Er  0.0000  0.0000  0.5000 x1
Hg  0.0000  0.5000  0.0000 x2
Hg  0.0000  0.5000  0.3381 x4
Hg  0.5000  0.5000  0.1678 x2
Hg  0.5000  0.5000  0.5000 x1

The 8 most intense peaks (10° ≤ 2θ ≤ 90°), in order of rising 2θ:
hkl 1 1 3, 2θ = 33.4°, I 100
hkl 0 0 6, 2θ = 38.5°, I 17
hkl 2 0 0, 2θ = 38.8°, I 33
hkl 2 0 6, 2θ = 55.8°, I 23
hkl 2 2 0, 2θ = 56.1°, I 12
hkl 1 1 9, 2θ = 66.4°, I 14
hkl 3 1 3, 2θ = 66.9°, I 28
hkl 2 2 6, 2θ = 70.1°, I 12